[1]
Theoretical powder XRD pattern
Compound: Tl2SbAs2
Radiation: λ = 1.5418 Å (Cu Kα)
Structure: a DFT-relaxed cell (PBE, Alexandria)
Lines closer than 0.1° are merged.

Structural model:
```
Tl2SbAs2
1.0
7.3245 0.0000 0.0000
0.0000 7.3245 0.0000
0.0000 0.0000 5.3940
Tl Sb As
4 2 4
direct
0.1868 0.3132 0.0000
0.3132 0.8132 0.0000
0.6868 0.1868 0.0000
0.8132 0.6868 0.0000
0.0000 0.0000 0.5000
0.5000 0.5000 0.5000
0.1186 0.6186 0.5000
0.3814 0.1186 0.5000
0.6186 0.8814 0.5000
0.8814 0.3814 0.5000
```

The 8 most intense peaks (5 to 70 degrees two-theta), by angle:
2θ/deg, d [Å], I/Imax, index
29.5, 3.030, 78.0, 2 0 1
32.0, 2.800, 100.0, 2 1 1
33.2, 2.697, 38.2, 0 0 2
38.9, 2.316, 24.5, 3 1 0
52.0, 1.757, 21.1, 3 1 2
54.4, 1.687, 20.9, 4 1 1
58.6, 1.576, 18.0, 2 1 3
62.6, 1.484, 16.4, 4 1 2


[2]
Theoretical powder XRD pattern
Compound: Y2NbIr
Radiation: λ = 1.5418 Å (Cu Kα)
Structure: a DFT-relaxed cell (PBE, Alexandria)
Lines closer than 0.1° are merged.

Structural model:
```
Y2NbIr
1.0
7.0757 0.0000 0.0000
0.0000 7.0757 0.0000
0.0000 0.0000 7.0757
Y Nb Ir
8 4 4
direct
0.2500 0.2500 0.2500
0.2500 0.2500 0.7500
0.2500 0.7500 0.2500
0.2500 0.7500 0.7500
0.7500 0.2500 0.2500
0.7500 0.2500 0.7500
0.7500 0.7500 0.2500
0.7500 0.7500 0.7500
0.0000 0.0000 0.0000
0.0000 0.5000 0.5000
0.5000 0.0000 0.5000
0.5000 0.5000 0.0000
0.0000 0.0000 0.5000
0.0000 0.5000 0.0000
0.5000 0.0000 0.0000
0.5000 0.5000 0.5000
```

The 8 most intense peaks (5 to 70 degrees two-theta), by angle:
2θ/deg, d [Å], I/Imax, index
21.8, 4.085, 8.9, 1 1 1
25.2, 3.538, 5.9, 2 0 0
35.9, 2.502, 100.0, 2 2 0
42.4, 2.133, 5.2, 3 1 1
51.7, 1.769, 17.5, 4 0 0
56.7, 1.623, 2.3, 3 3 1
58.3, 1.582, 2.6, 4 2 0
64.5, 1.444, 35.5, 4 2 2


[3]
Theoretical powder XRD pattern
Compound: La2TmTh
Radiation: λ = 1.5418 Å (Cu Kα)
Structure: a DFT-relaxed cell (PBE, Alexandria)
Lines closer than 0.1° are merged.

Structural model:
```
La2TmTh
1.0
3.6090 0.0000 0.0000
0.0226 7.1955 0.0000
0.0005 3.5870 10.4078
La Tm Th
4 2 2
direct
0.9997 0.1295 0.2412
0.0003 0.8705 0.7588
0.5001 0.2724 0.5003
0.4999 0.7276 0.4997
0.9995 0.3658 0.7685
0.0005 0.6342 0.2315
0.5000 0.0000 0.0000
0.5000 0.5000 0.0000
```

The 8 most intense peaks (5 to 70 degrees two-theta), by angle:
2θ/deg, d [Å], I/Imax, index
8.5, 10.408, 12.0, 0 0 1
30.2, 2.963, 100.0, 1 0 2
34.5, 2.602, 16.9, 0 0 4
35.2, 2.552, 16.9, 1 2 1
35.3, 2.544, 16.7, -1 2 1
50.1, 1.822, 11.7, 1 2 5
59.1, 1.563, 13.3, 1 0 6
60.1, 1.539, 13.9, 2 -2 1


[4]
Theoretical powder XRD pattern
Compound: Y2Mg3Pt4
Radiation: λ = 1.5418 Å (Cu Kα)
Structure: a DFT-relaxed cell (PBE, Alexandria)
Lines closer than 0.1° are merged.

Structural model:
```
Y2Mg3Pt4
1.0
7.3046 0.0000 0.0000
0.0000 7.2910 0.0000
-2.4753 0.0000 6.7108
Y Mg Pt
4 6 8
direct
0.1911 0.1738 0.0551
0.1911 0.3262 0.5551
0.8089 0.6738 0.4449
0.8089 0.8262 0.9449
0.2544 0.6691 0.2463
0.2544 0.8309 0.7463
0.5000 0.0000 0.5000
0.5000 0.5000 0.0000
0.7456 0.1691 0.2537
0.7456 0.3309 0.7537
0.0756 0.5383 0.8452
0.0756 0.9617 0.3452
0.4891 0.1361 0.8636
0.4891 0.3639 0.3636
0.5109 0.6361 0.6364
0.5109 0.8639 0.1364
0.9244 0.0383 0.6548
0.9244 0.4617 0.1548
```

The 8 most intense peaks (5 to 70 degrees two-theta), by angle:
2θ/deg, d [Å], I/Imax, index
24.8, 3.595, 100.0, 1 1 1
26.0, 3.427, 47.8, 2 0 0
27.7, 3.222, 63.0, 1 2 0
32.6, 2.746, 49.6, 2 1 -2
35.0, 2.561, 80.5, 2 2 -1
35.8, 2.508, 70.8, 1 1 2
39.4, 2.285, 74.3, 0 3 1
39.8, 2.266, 78.7, 1 1 -3